For Zr10Sn3Bi3, DFT lattice parameters and positions (GGA-PBE) gives the theoretical PXRD pattern in this record (Cu Kα X-rays).

Crystal structure
a b c (Å): 8.619 8.619 5.844
angles (deg): 90.00 90.00 120.00
Fractional coordinates of all 16 atoms:
Zr: 0.000 0.238 0.000
Zr: 0.000 0.744 0.500
Zr: 0.238 0.000 0.000
Zr: 0.256 0.256 0.500
Zr: 0.333 0.667 0.256
Zr: 0.333 0.667 0.744
Zr: 0.667 0.333 0.256
Zr: 0.667 0.333 0.744
Zr: 0.744 0.000 0.500
Zr: 0.762 0.762 0.000
Sn: 0.000 0.385 0.500
Sn: 0.385 0.000 0.500
Sn: 0.615 0.615 0.500
Bi: 0.000 0.604 0.000
Bi: 0.396 0.396 0.000
Bi: 0.604 0.000 0.000

Largest 10 diffraction maxima, in order of falling intensity, 10 to 80 degrees two-theta:
2θ/deg	Rel. int.	h k l
35.33	100	2 1 1
37.18	72	1 1 2
36.10	51	3 0 0
46.54	31	3 1 1
30.59	27	0 0 2
25.68	25	1 1 1
57.49	25	2 1 3
31.71	21	2 1 0
70.88	20	5 0 2
11.86	16	1 0 0